Theoretical powder diffractogram of ZrS4I4Cl2 for Cu Kα X-rays, from DFT lattice parameters and positions (PBE).
Kinematic intensities with the Lorentz-polarization factor, no thermal factor.

Atomic structure:
```
11
Lattice="7.663 0.000 0.000 3.557 6.921 0.000 3.656 1.431 7.066" Properties=species:S:1:pos:R:3 pbc="T T T"
Zr 0.000 0.000 0.000
S 6.193 3.398 3.576
S 6.891 5.011 2.471
S 7.987 3.341 4.595
S 8.684 4.954 3.490
I 3.938 4.374 1.356
I 9.652 7.825 5.557
I 5.225 0.526 1.509
I 10.939 3.977 5.710
Cl 1.297 1.169 1.676
Cl 13.580 7.183 5.390
```

The 12 most intense peaks (15° ≤ 2θ ≤ 90°), in order of falling intensity:
Position (°2θ)  d (Å)  intensity
26.29  3.390  100.0
22.31  3.985  80.2
31.44  2.845  54.3
35.78  2.509  49.5
16.22  5.465  39.9
32.09  2.789  36.6
36.50  2.462  34.0
21.72  4.091  33.8
26.66  3.344  32.8
25.21  3.533  29.6
51.21  1.784  26.3
49.59  1.838  23.8